Record 1
For YNbN2O, the GGA-PBE geometry in OQMD gives the theoretical powder X-ray diffraction pattern in this record (Cu Ka).
Intensities are scaled so that the largest is 100.

The 10 most intense peaks (10 to 80 degrees two-theta), by angle:
(0 2 2), d 2.875, intensity 43.3
(2 0 2), d 2.814, intensity 100.0
(2 -2 0), d 2.798, intensity 95.6
(0 2 -2), d 2.754, intensity 44.8
(0 0 4), d 2.000, intensity 21.3
(4 0 0), d 1.979, intensity 43.8
(-2 2 4), d 1.651, intensity 11.9
(4 -2 2), d 1.607, intensity 21.0
(2 -2 4), d 1.604, intensity 21.9
(2 -4 2), d 1.595, intensity 20.7

Structural model:
abc: 7.9167 7.9179 8.0092
angles: 87.54 89.94 89.86
Space group P1 (No. 1)
One atom of each set of equivalent atoms:
Y  0.0000  0.0000  0.0000 x1
Y  0.0010  0.4895  0.0113 x1
Y  0.0018  0.9813  0.5180 x1
Y  0.0040  0.5100  0.5023 x1
Y  0.4996  0.4167  0.4601 x1
Y  0.5023  0.9402  0.4376 x1
Y  0.5032  0.4334  0.9471 x1
Y  0.5077  0.9249  0.9622 x1
Nb  0.2457  0.2037  0.2202 x1
Nb  0.2482  0.2058  0.7205 x1
Nb  0.2559  0.7285  0.7212 x1
Nb  0.2645  0.7117  0.2145 x1
Nb  0.7378  0.6956  0.2269 x1
Nb  0.7387  0.7120  0.7155 x1
Nb  0.7583  0.2229  0.7148 x1
Nb  0.7694  0.2201  0.2299 x1
N  0.0022  0.1355  0.2691 x1
N  0.0045  0.2512  0.6677 x1
N  0.1948  0.7574  0.4871 x1
N  0.1956  0.9605  0.7866 x1
N  0.2010  0.2684  0.9868 x1
N  0.3085  0.6535  0.9863 x1
N  0.3104  0.9622  0.1825 x1
N  0.3144  0.1678  0.4886 x1
N  0.5004  0.6705  0.3019 x1
N  0.5043  0.7882  0.6969 x1
N  0.6894  0.1578  0.4900 x1
N  0.6959  0.4631  0.6830 x1
N  0.7030  0.6650  0.9853 x1
N  0.8026  0.2567  0.9887 x1
N  0.8111  0.4605  0.2869 x1
N  0.8131  0.7648  0.4831 x1
O  0.0028  0.7505  0.1531 x1
O  0.0084  0.6282  0.7662 x1
O  0.1863  0.4626  0.2882 x1
O  0.3249  0.4600  0.6868 x1
O  0.4988  0.2936  0.2010 x1
O  0.5049  0.1734  0.8180 x1
O  0.6825  0.9629  0.1863 x1
O  0.8190  0.9582  0.7870 x1

=====

Record 2
For Ba2HoOsSe6, the GGA-PBE geometry in OQMD gives the theoretical powder X-ray diffraction pattern in this record (Cu Ka).
Intensities are scaled so that the largest is 100.

The 10 most intense peaks (10 to 80 degrees two-theta), by angle:
(0 1 -1), d 3.764, intensity 35.5
(1 0 -1), d 3.707, intensity 45.6
(1 1 2), d 3.653, intensity 100.0
(1 2 1), d 3.626, intensity 46.8
(2 1 1), d 3.609, intensity 42.9
(2 2 0), d 2.614, intensity 94.8
(2 0 2), d 2.596, intensity 88.0
(0 2 2), d 2.570, intensity 75.2
(1 -2 1), d 2.141, intensity 38.2
(-2 1 1), d 2.111, intensity 36.1

Structural model:
abc: 7.2200 7.2557 7.3036
angles: 62.27 61.42 60.71
Space group P-1 (No. 2)
One atom of each set of equivalent atoms:
Ba  0.2483  0.2563  0.2454 x2
Ho  0.5000  0.5000  0.5000 x1
Os  0.0000  0.0000  0.0000 x1
Se  0.1979  0.2778  0.7953 x2
Se  0.2274  0.8375  0.6883 x2
Se  0.2897  0.7298  0.1857 x2